(1)
For DyZnIn6, a GGA-PBE-relaxed structure gives the calculated X-ray powder pattern in this record (Cu Kα).
Neutral-atom scattering factors, no anomalous dispersion.

Structural model:
Cell lengths 6.7851, 6.7851, 4.2932 Å; angles 90.00, 90.00, 90.24 degrees
Sites, in units of the cell vectors:
Dy  0.0000  0.0000  0.0000
Zn  0.5000  0.5000  0.0000
In  0.0000  0.5000  0.0000
In  0.2639  0.7361  0.5000
In  0.2653  0.2653  0.5000
In  0.5000  0.0000  0.0000
In  0.7347  0.7347  0.5000
In  0.7361  0.2639  0.5000

Largest 10 diffraction maxima, by angle, 15° ≤ 2θ ≤ 90°:
- 2.662 Å, I 100
- 2.404 Å, I 18
- 2.394 Å, I 18
- 2.147 Å, I 14
- 1.696 Å, I 12
- 1.601 Å, I 10
- 1.433 Å, I 13
- 1.428 Å, I 13
- 1.331 Å, I 10
- 1.319 Å, I 11

=====

(2)
For Dy7Zn4In, a GGA-PBE-relaxed structure gives the calculated X-ray powder pattern in this record (Cu Kα).
Neutral-atom scattering factors, no anomalous dispersion.

Structural model:
Cell lengths 7.5365, 7.5365, 8.9767 Å; angles 117.55, 117.55, 44.22 degrees
Sites, in units of the cell vectors:
Dy  0.0000  0.0000  0.0000
Dy  0.2249  0.2249  0.6849
Dy  0.3135  0.3135  0.1234
Dy  0.4240  0.4240  0.5921
Dy  0.5760  0.5760  0.4079
Dy  0.6865  0.6865  0.8766
Dy  0.7751  0.7751  0.3151
Zn  0.0178  0.0178  0.6741
Zn  0.1873  0.1873  0.3365
Zn  0.8127  0.8127  0.6635
Zn  0.9822  0.9822  0.3259
In  0.5000  0.5000  0.0000

Largest 10 diffraction maxima, by angle, 15° ≤ 2θ ≤ 90°:
- 3.468 Å, I 41
- 2.837 Å, I 100
- 2.826 Å, I 51
- 2.766 Å, I 49
- 2.713 Å, I 37
- 2.619 Å, I 44
- 2.459 Å, I 71
- 1.980 Å, I 38
- 1.961 Å, I 30
- 1.476 Å, I 20